Theoretical powder X-ray diffraction pattern of Li2PuHgAu2 for Cu Kα X-rays, from a PBE-relaxed structure.
Lines closer than 0.1° are merged.

Principal peaks in the range 2θ = 10–90°, low angle first:
2θ 26.1, rel. 59
2θ 35.1, rel. 100
2θ 39.3, rel. 65
2θ 53.7, rel. 30
2θ 68.5, rel. 30
2θ 69.7, rel. 23

Crystal structure
```
data_Li2PuHgAu2
_chemical_formula_sum 'Li2 Pu1 Hg1 Au2'
_cell_length_a 4.588
_cell_length_b 4.588
_cell_length_c 6.674
_cell_angle_alpha 90.00
_cell_angle_beta 90.00
_cell_angle_gamma 120.00
_symmetry_space_group_name_H-M 'P 1'
_symmetry_Int_Tables_number 1
loop_
_symmetry_equiv_pos_as_xyz
'x,y,z'
loop_
_atom_site_label
_atom_site_type_symbol
_atom_site_fract_x
_atom_site_fract_y
_atom_site_fract_z
Li1 Li 0.333 0.667 0.153
Li2 Li 0.667 0.333 0.847
Pu1 Pu 0.000 0.000 0.500
Hg1 Hg 0.000 0.000 0.000
Au1 Au 0.333 0.667 0.739
Au2 Au 0.667 0.333 0.261
```

---

Theoretical powder X-ray diffraction pattern of RbLi2HgAu for Cu Kα X-rays, from a PBE-relaxed structure.
Lines closer than 0.1° are merged.

Principal peaks in the range 2θ = 10–90°, low angle first:
2θ 17.0, rel. 94
2θ 24.1, rel. 100
2θ 34.3, rel. 45
2θ 37.3, rel. 29
2θ 41.2, rel. 50
2θ 48.3, rel. 34

Crystal structure
```
data_RbLi2HgAu
_chemical_formula_sum 'Rb1 Li2 Hg1 Au1'
_cell_length_a 5.226
_cell_length_b 5.226
_cell_length_c 5.437
_cell_angle_alpha 90.00
_cell_angle_beta 90.00
_cell_angle_gamma 90.00
_symmetry_space_group_name_H-M 'P 1'
_symmetry_Int_Tables_number 1
loop_
_symmetry_equiv_pos_as_xyz
'x,y,z'
loop_
_atom_site_label
_atom_site_type_symbol
_atom_site_fract_x
_atom_site_fract_y
_atom_site_fract_z
Rb1 Rb 0.000 0.000 0.000
Li1 Li 0.000 0.500 0.500
Li2 Li 0.500 0.000 0.500
Hg1 Hg 0.500 0.500 0.000
Au1 Au 0.500 0.500 0.500
```

---

Theoretical powder X-ray diffraction pattern of Sr2LiHgAu6 for Cu Kα X-rays, from a PBE-relaxed structure.
Lines closer than 0.1° are merged.

Principal peaks in the range 2θ = 10–90°, low angle first:
2θ 18.6, rel. 55
2θ 26.7, rel. 75
2θ 37.7, rel. 88
2θ 37.8, rel. 100
2θ 37.9, rel. 50
2θ 42.4, rel. 65

Crystal structure
```
data_Sr2LiHgAu6
_chemical_formula_sum 'Sr2 Li1 Hg1 Au6'
_cell_length_a 7.205
_cell_length_b 7.205
_cell_length_c 9.439
_cell_angle_alpha 130.16
_cell_angle_beta 130.16
_cell_angle_gamma 44.84
_symmetry_space_group_name_H-M 'P 1'
_symmetry_Int_Tables_number 1
loop_
_symmetry_equiv_pos_as_xyz
'x,y,z'
loop_
_atom_site_label
_atom_site_type_symbol
_atom_site_fract_x
_atom_site_fract_y
_atom_site_fract_z
Sr1 Sr 0.246 0.246 0.206
Sr2 Sr 0.754 0.754 0.794
Li1 Li 0.000 0.000 0.500
Hg1 Hg 0.500 0.500 0.000
Au1 Au 0.243 0.744 0.261
Au2 Au 0.247 0.247 0.587
Au3 Au 0.256 0.757 0.739
Au4 Au 0.744 0.243 0.261
Au5 Au 0.753 0.753 0.413
Au6 Au 0.757 0.256 0.739
```

---

Theoretical powder X-ray diffraction pattern of Li5TlHg2Au2 for Cu Kα X-rays, from a PBE-relaxed structure.
Lines closer than 0.1° are merged.

Principal peaks in the range 2θ = 10–90°, low angle first:
2θ 23.1, rel. 19
2θ 25.9, rel. 100
2θ 27.4, rel. 57
2θ 35.0, rel. 17
2θ 38.1, rel. 79
2θ 58.3, rel. 19

Crystal structure
```
data_Li5TlHg2Au2
_chemical_formula_sum 'Li10 Tl2 Hg4 Au4'
_cell_length_a 10.881
_cell_length_b 10.881
_cell_length_c 3.252
_cell_angle_alpha 90.00
_cell_angle_beta 90.00
_cell_angle_gamma 90.00
_symmetry_space_group_name_H-M 'P 1'
_symmetry_Int_Tables_number 1
loop_
_symmetry_equiv_pos_as_xyz
'x,y,z'
loop_
_atom_site_label
_atom_site_type_symbol
_atom_site_fract_x
_atom_site_fract_y
_atom_site_fract_z
Li1 Li 0.000 0.500 0.000
Li2 Li 0.020 0.216 0.000
Li3 Li 0.216 0.980 0.000
Li4 Li 0.284 0.480 0.000
Li5 Li 0.480 0.716 0.000
Li6 Li 0.500 0.000 0.000
Li7 Li 0.520 0.284 0.000
Li8 Li 0.716 0.520 0.000
Li9 Li 0.784 0.020 0.000
Li10 Li 0.980 0.784 0.000
Tl1 Tl 0.000 0.000 0.500
Tl2 Tl 0.500 0.500 0.500
Hg1 Hg 0.172 0.672 0.500
Hg2 Hg 0.328 0.172 0.500
Hg3 Hg 0.672 0.828 0.500
Hg4 Hg 0.828 0.328 0.500
Au1 Au 0.140 0.360 0.500
Au2 Au 0.360 0.860 0.500
Au3 Au 0.640 0.140 0.500
Au4 Au 0.860 0.640 0.500
```